Diffraction record for V2Pt9Rh. The powder XRD pattern is simulated, not measured: it uses a cell relaxed with PBE and Cu Kα, 1.54184 Å.
Lines closer than 0.1° are merged.

The 8 most intense peaks (2θ from 10° to 80°), by angle:
22.66°, rel. 112, hkl 1 0 0
32.27°, rel. 96, hkl 1 1 0
39.79°, rel. 1000, hkl 1 1 3
46.28°, rel. 488, hkl 2 0 0
52.12°, rel. 53, hkl 2 1 0
57.54°, rel. 39, hkl 2 1 3
67.52°, rel. 315, hkl 2 2 0
72.23°, rel. 26, hkl 3 0 0

Atomic structure:
Lattice parameters (Å, degrees): 3.923 3.923 11.773 90.00 90.00 90.00
Sites, in units of the cell vectors:
V 0.000 0.000 0.173
V 0.000 0.000 0.827
Pt 0.000 0.500 0.000
Pt 0.000 0.500 0.327
Pt 0.000 0.500 0.673
Pt 0.500 0.000 0.000
Pt 0.500 0.000 0.327
Pt 0.500 0.000 0.673
Pt 0.500 0.500 0.164
Pt 0.500 0.500 0.500
Pt 0.500 0.500 0.836
Rh 0.000 0.000 0.500